Structure and calculated powder diffractogram of YAgS2 (DFT lattice parameters and positions (GGA-PBE); Cu Ka).

Largest 12 diffraction maxima, sorted by position, 10° ≤ 2θ ≤ 90°:
d = 3.499 Å, 25.5°, intensity 233
d = 3.413 Å, 26.1°, intensity 1000
d = 3.286 Å, 27.1°, intensity 304
d = 2.889 Å, 31.0°, intensity 141
d = 2.670 Å, 33.6°, intensity 293
d = 2.266 Å, 39.8°, intensity 539
d = 2.091 Å, 43.3°, intensity 377
d = 1.997 Å, 45.4°, intensity 486
d = 1.735 Å, 52.8°, intensity 188
d = 1.724 Å, 53.1°, intensity 133
d = 1.498 Å, 61.9°, intensity 137
d = 1.199 Å, 80.1°, intensity 130

Atomic structure:
a b c (Å): 3.995 3.995 20.996
angles (deg): 90.00 90.00 120.00
Element x y z (fractional)
Y: 0.000 0.000 0.000
Y: 0.333 0.667 0.667
Y: 0.667 0.333 0.333
Ag: 0.000 0.000 0.149
Ag: 0.333 0.667 0.816
Ag: 0.667 0.333 0.483
S: 0.000 0.000 0.267
S: 0.000 0.000 0.745
S: 0.333 0.667 0.412
S: 0.333 0.667 0.933
S: 0.667 0.333 0.078
S: 0.667 0.333 0.600

Structure and calculated powder diffractogram of Sm3OsO7 (DFT lattice parameters and positions (GGA-PBE); Cu Ka).

Largest 12 diffraction maxima, sorted by position, 10° ≤ 2θ ≤ 90°:
d = 3.093 Å, 28.9°, intensity 1000
d = 3.075 Å, 29.0°, intensity 894
d = 2.701 Å, 33.2°, intensity 229
d = 2.656 Å, 33.7°, intensity 454
d = 1.894 Å, 48.0°, intensity 475
d = 1.887 Å, 48.2°, intensity 171
d = 1.625 Å, 56.6°, intensity 99
d = 1.622 Å, 56.7°, intensity 98
d = 1.608 Å, 57.3°, intensity 266
d = 1.600 Å, 57.6°, intensity 187
d = 1.547 Å, 59.8°, intensity 100
d = 1.230 Å, 77.6°, intensity 98

Atomic structure:
a b c (Å): 6.570 6.570 7.547
angles (deg): 90.00 90.00 69.40
Element x y z (fractional)
Sm: 0.000 0.000 0.000
Sm: 0.000 0.000 0.500
Sm: 0.074 0.478 0.750
Sm: 0.478 0.074 0.250
Sm: 0.522 0.926 0.750
Sm: 0.926 0.522 0.250
Os: 0.500 0.500 0.000
Os: 0.500 0.500 0.500
O: 0.109 0.156 0.250
O: 0.156 0.109 0.750
O: 0.185 0.562 0.038
O: 0.185 0.562 0.462
O: 0.414 0.586 0.750
O: 0.438 0.815 0.038
O: 0.438 0.815 0.462
O: 0.562 0.185 0.538
O: 0.562 0.185 0.962
O: 0.586 0.414 0.250
O: 0.815 0.438 0.538
O: 0.815 0.438 0.962
O: 0.844 0.891 0.250
O: 0.891 0.844 0.750

Structure and calculated powder diffractogram of Dy2FeC4 (DFT lattice parameters and positions (GGA-PBE); Cu Ka).

Largest 12 diffraction maxima, sorted by position, 10° ≤ 2θ ≤ 90°:
d = 3.149 Å, 28.3°, intensity 1000
d = 2.945 Å, 30.3°, intensity 515
d = 2.861 Å, 31.3°, intensity 809
d = 2.512 Å, 35.7°, intensity 252
d = 2.410 Å, 37.3°, intensity 302
d = 2.403 Å, 37.4°, intensity 153
d = 2.311 Å, 39.0°, intensity 237
d = 2.083 Å, 43.4°, intensity 256
d = 1.966 Å, 46.2°, intensity 163
d = 1.737 Å, 52.7°, intensity 238
d = 1.618 Å, 56.9°, intensity 211
d = 1.548 Å, 59.7°, intensity 456

Atomic structure:
a b c (Å): 6.585 6.585 6.585
angles (deg): 110.90 86.24 135.15
Element x y z (fractional)
Dy: 0.145 0.157 0.302
Dy: 0.355 0.657 0.012
Dy: 0.645 0.343 0.988
Dy: 0.855 0.843 0.698
Fe: 0.250 0.750 0.500
Fe: 0.750 0.250 0.500
C: 0.078 0.665 0.743
C: 0.128 0.837 0.965
C: 0.372 0.337 0.709
C: 0.422 0.165 0.587
C: 0.578 0.835 0.413
C: 0.628 0.663 0.291
C: 0.872 0.163 0.035
C: 0.922 0.335 0.257

Structure and calculated powder diffractogram of Ba2Tl2Bi3O10 (DFT lattice parameters and positions (GGA-PBE); Cu Ka).

Largest 12 diffraction maxima, sorted by position, 10° ≤ 2θ ≤ 90°:
d = 3.970 Å, 22.4°, intensity 401
d = 3.849 Å, 23.1°, intensity 245
d = 3.547 Å, 25.1°, intensity 213
d = 3.358 Å, 26.5°, intensity 271
d = 3.312 Å, 26.9°, intensity 324
d = 3.211 Å, 27.8°, intensity 333
d = 3.072 Å, 29.1°, intensity 344
d = 3.061 Å, 29.2°, intensity 445
d = 3.026 Å, 29.5°, intensity 226
d = 2.780 Å, 32.2°, intensity 1000
d = 1.994 Å, 45.5°, intensity 247
d = 1.940 Å, 46.8°, intensity 333

Atomic structure:
a b c (Å): 3.881 3.988 21.375
angles (deg): 94.49 92.86 90.01
Element x y z (fractional)
Ba: 0.000 0.000 0.000
Ba: 0.374 0.332 0.612
Tl: 0.452 0.457 0.861
Tl: 0.918 0.911 0.752
Bi: 0.539 0.551 0.134
Bi: 0.641 0.726 0.307
Bi: 0.845 0.775 0.477
O: 0.025 0.535 0.086
O: 0.157 0.743 0.357
O: 0.349 0.795 0.526
O: 0.422 0.296 0.765
O: 0.485 0.484 0.956
O: 0.526 0.037 0.089
O: 0.640 0.206 0.265
O: 0.849 0.293 0.522
O: 0.886 0.852 0.657
O: 0.948 0.831 0.847

Structure and calculated powder diffractogram of SiO2 (DFT lattice parameters and positions (GGA-PBE); Cu Ka).

Largest 12 diffraction maxima, sorted by position, 10° ≤ 2θ ≤ 90°:
d = 4.354 Å, 20.4°, intensity 188
d = 3.418 Å, 26.1°, intensity 1000
d = 2.514 Å, 35.7°, intensity 60
d = 2.331 Å, 38.6°, intensity 51
d = 2.177 Å, 41.5°, intensity 44
d = 2.025 Å, 44.7°, intensity 39
d = 1.858 Å, 49.0°, intensity 160
d = 1.577 Å, 58.5°, intensity 94
d = 1.413 Å, 66.1°, intensity 58
d = 1.405 Å, 66.6°, intensity 118
d = 1.226 Å, 77.9°, intensity 44
d = 1.180 Å, 81.6°, intensity 35

Atomic structure:
a b c (Å): 5.028 5.028 5.519
angles (deg): 90.00 90.00 120.00
Element x y z (fractional)
Si: 0.000 0.523 0.333
Si: 0.477 0.477 0.000
Si: 0.523 0.000 0.667
O: 0.161 0.415 0.129
O: 0.254 0.839 0.463
O: 0.415 0.161 0.871
O: 0.585 0.746 0.796
O: 0.746 0.585 0.204
O: 0.839 0.254 0.537

Structure and calculated powder diffractogram of HfPd (DFT lattice parameters and positions (GGA-PBE); Cu Ka).

Largest 8 diffraction maxima, sorted by position, 10° ≤ 2θ ≤ 90°:
d = 3.328 Å, 26.8°, intensity 69
d = 2.353 Å, 38.2°, intensity 1000
d = 1.921 Å, 47.3°, intensity 21
d = 1.664 Å, 55.2°, intensity 173
d = 1.488 Å, 62.4°, intensity 29
d = 1.359 Å, 69.1°, intensity 350
d = 1.177 Å, 81.9°, intensity 111
d = 1.109 Å, 88.1°, intensity 16

Atomic structure:
a b c (Å): 3.328 3.328 3.328
angles (deg): 90.00 90.00 90.00
Element x y z (fractional)
Hf: 0.000 0.000 0.000
Pd: 0.500 0.500 0.500

Repeat the first record exactly.
Structure and calculated powder diffractogram of YAgS2 (DFT lattice parameters and positions (GGA-PBE); Cu Ka).

Largest 12 diffraction maxima, sorted by position, 10° ≤ 2θ ≤ 90°:
d = 3.499 Å, 25.5°, intensity 233
d = 3.413 Å, 26.1°, intensity 1000
d = 3.286 Å, 27.1°, intensity 304
d = 2.889 Å, 31.0°, intensity 141
d = 2.670 Å, 33.6°, intensity 293
d = 2.266 Å, 39.8°, intensity 539
d = 2.091 Å, 43.3°, intensity 377
d = 1.997 Å, 45.4°, intensity 486
d = 1.735 Å, 52.8°, intensity 188
d = 1.724 Å, 53.1°, intensity 133
d = 1.498 Å, 61.9°, intensity 137
d = 1.199 Å, 80.1°, intensity 130

Atomic structure:
a b c (Å): 3.995 3.995 20.996
angles (deg): 90.00 90.00 120.00
Element x y z (fractional)
Y: 0.000 0.000 0.000
Y: 0.333 0.667 0.667
Y: 0.667 0.333 0.333
Ag: 0.000 0.000 0.149
Ag: 0.333 0.667 0.816
Ag: 0.667 0.333 0.483
S: 0.000 0.000 0.267
S: 0.000 0.000 0.745
S: 0.333 0.667 0.412
S: 0.333 0.667 0.933
S: 0.667 0.333 0.078
S: 0.667 0.333 0.600